# La4SmGa4
Calculated X-ray diffraction stick pattern, CuKα. Input: a structure optimized by DFT (GGA-PBE).
No peak broadening, texture or thermal motion is included.

Largest 6 diffraction maxima, sorted by position, 2θ = 10–90°:
d = 3.396 Å, 26.2°, I 100; d = 3.330 Å, 26.8°, I 44; d = 2.509 Å, 35.8°, I 60; d = 2.451 Å, 36.7°, I 32; d = 2.265 Å, 39.8°, I 38; d = 1.974 Å, 46.0°, I 20

Crystal structure
Cell: 10.5318 10.5318 4.9026 Å, 90.00 90.00 90.00°
Space group I4/m (No. 87)
Asymmetric unit:
La 0.1363 0.3518 0.0000 x8
Sm 0.0000 0.0000 0.0000 x2
Ga 0.0685 0.1654 0.5000 x8